This entry pairs a crystal structure of AcHo12Tm2 with its theoretical PXRD pattern. Radiation: λ = 1.5418 Å (Cu Kα). Structure: a cell relaxed with PBE.
Neutral-atom scattering factors, no anomalous dispersion.

Structure:
Cell: 3.5716 5.5560 24.2965 Å, 90.00 94.21 90.00°
Element x y z (fractional)
Ac1 0.0000 0.0000 0.0000
Ho1 0.0708 0.0000 0.1435
Ho2 0.0999 0.5000 0.2049
Ho3 0.1658 0.5000 0.3319
Ho4 0.2146 0.0000 0.4256
Ho5 0.2756 0.5000 0.5546
Ho6 0.4618 0.5000 0.9209
Ho7 0.5382 0.5000 0.0791
Ho8 0.7244 0.5000 0.4454
Ho9 0.7854 0.0000 0.5744
Ho10 0.8342 0.5000 0.6681
Ho11 0.9001 0.5000 0.7951
Ho12 0.9292 0.0000 0.8565
Tm1 0.3642 0.0000 0.7257
Tm2 0.6358 0.0000 0.2743

Largest 8 diffraction maxima, by angle, 2θ = 10–90°:
hkl 1 1 1, 30.26°, I 35
hkl 0 1 7, 30.42°, I 62
hkl 1 1 2, 31.17°, I 39
hkl 0 2 0, 32.24°, I 100
hkl 1 1 -4, 32.49°, I 56
hkl 0 1 8, 33.70°, I 23
hkl 1 2 -6, 46.25°, I 30
hkl 2 2 -1, 61.75°, I 20